(1)
Structure and calculated X-ray diffraction stick pattern of LaCdAg5 (a DFT-relaxed cell (GGA-PBE, Alexandria); Cu Kα (weighted mean of Kα1 and Kα2)).

Structure:
```
LaCdAg5
1.0
9.1084 0.0000 0.0000
0.0000 5.7190 0.0000
0.0000 0.0000 11.4939
La Cd Ag
4 4 20
Cartesian
2.2062 1.4297 0.7125
2.3480 4.2892 6.4595
6.7604 1.4297 5.0345
6.9022 4.2892 10.7814
1.2981 4.2892 9.8321
3.2561 1.4297 4.0852
5.8522 4.2892 7.4088
7.8103 1.4297 1.6618
0.5871 0.0423 3.5391
0.5871 2.8172 3.5391
0.5917 4.2892 1.0427
0.8912 1.4297 5.9557
1.6760 1.4297 8.7132
2.8782 4.2892 2.9662
3.6630 4.2892 0.2087
3.9624 1.4297 6.7897
3.9671 2.9018 9.2861
3.9671 5.6767 9.2861
5.1412 0.0423 2.2078
5.1412 2.8172 2.2078
5.1459 4.2892 4.7043
5.4454 1.4297 11.2852
6.2302 1.4297 8.5277
7.4323 4.2892 2.7807
8.2172 4.2892 5.5383
8.5166 1.4297 10.4513
8.5213 2.9018 7.9548
8.5213 5.6767 7.9548
```

Most intense lines, 2θ from 5° to 70°, in order of rising 2θ:
Position (°2θ), I/Imax
31.28, 19
32.68, 32
34.35, 100
35.05, 17
37.97, 28
40.36, 63
40.47, 21
40.60, 35
57.67, 20
62.58, 14

(2)
Structure and calculated X-ray diffraction stick pattern of La2Cd2Ag (a DFT-relaxed cell (GGA-PBE, Alexandria); Cu Kα (weighted mean of Kα1 and Kα2)).

Structure:
```
La2Cd2Ag
1.0
5.5840 -2.4869 0.0000
5.5840 2.4869 0.0000
-3.9585 0.0000 10.1723
La Cd Ag
4 4 2
Cartesian
-1.0537 0.0000 3.5072
1.5828 0.0000 1.0502
5.6267 0.0000 9.1221
8.2632 0.0000 6.6651
2.3256 0.0000 4.3249
4.8316 0.0000 1.2635
2.3778 0.0000 8.9088
4.8838 0.0000 5.8474
0.3919 0.0000 6.7841
6.8176 0.0000 3.3882
```

Most intense lines, 2θ from 5° to 70°, in order of rising 2θ:
Position (°2θ), I/Imax
28.51, 25
30.46, 81
31.12, 22
32.48, 36
34.60, 40
35.19, 100
35.29, 29
36.12, 59
49.35, 22
51.40, 24